For RbTl4Hg2, a structure optimized by DFT (GGA-PBE) gives the computed powder diffractogram in this record (Cu Kα (weighted mean of Kα1 and Kα2)).

Main lines, in order of rising 2θ (5° ≤ 2θ ≤ 70°):
two_theta	intensity	h k l
9.78	30	0 2 0
28.68	100	1 3 1
34.48	37	2 0 0
35.00	84	1 5 1
35.34	35	0 0 2
50.21	26	2 0 2

Structure:
Cell lengths 5.203, 18.082, 5.079 Å; angles 90.00, 90.00, 90.00 degrees
Space group Cmmm (No. 65)
Inequivalent atoms, fractional coordinates:
Rb 0.000 0.000 0.000
Tl 0.000 0.184 0.500
Tl 0.000 0.310 0.000
Hg 0.000 0.417 0.500

=====

For ScRe2Sb, a structure optimized by DFT (GGA-PBE) gives the computed powder diffractogram in this record (Cu Kα (weighted mean of Kα1 and Kα2)).

Main lines, in order of rising 2θ (5° ≤ 2θ ≤ 70°):
two_theta	intensity	h k l
19.12	43	0 2 0
36.03	64	2 0 -1
38.79	53	0 4 0
39.49	100	0 2 1
40.38	94	2 2 0
53.98	40	2 4 -1

Structure:
Cell lengths 5.750, 9.286, 2.956 Å; angles 90.00, 117.59, 90.00 degrees
Space group C2/m (No. 12)
Inequivalent atoms, fractional coordinates:
Sc 0.000 0.000 0.000
Re 0.250 0.250 0.500
Sb 0.000 0.500 0.000

=====

For NiBr2Cl6, a structure optimized by DFT (GGA-PBE) gives the computed powder diffractogram in this record (Cu Kα (weighted mean of Kα1 and Kα2)).

Main lines, in order of rising 2θ (5° ≤ 2θ ≤ 70°):
two_theta	intensity	h k l
15.21	57	1 1 -1
18.91	100	3 1 0
23.22	73	4 0 0
26.64	40	2 0 -2
29.11	70	0 0 2
30.17	38	0 4 0

Structure:
Cell lengths 16.717, 11.844, 6.692 Å; angles 90.00, 113.46, 90.00 degrees
Space group C2/c (No. 15)
Inequivalent atoms, fractional coordinates:
Ni 0.000 0.164 0.250
Br 0.136 0.394 0.216
Cl 0.065 0.144 0.591
Cl 0.126 0.179 0.222
Cl 0.141 0.417 0.718